# 1
Structure and computed powder X-ray diffraction pattern of HoEr6Tm3 (a cell relaxed with GGA-PBE; CuKα).
Neutral-atom scattering factors, no anomalous dispersion.

Most intense lines, 5 to 70 degrees two-theta, by intensity:
31.99 deg, intensity 100; 29.29 deg, intensity 71; 34.34 deg, intensity 66; 31.84 deg, intensity 62; 32.79 deg, intensity 61; 57.79 deg, intensity 43; 33.47 deg, intensity 43; 29.67 deg, intensity 42; 58.38 deg, intensity 34; 35.31 deg, intensity 26; 29.79 deg, intensity 25; 35.79 deg, intensity 18

Structure:
```
data_HoEr6Tm3
_symmetry_space_group_name_H-M 'P 1'
_symmetry_Int_Tables_number 1
_cell_length_a 11.338
_cell_length_b 11.338
_cell_length_c 6.270
_cell_angle_alpha 90.00
_cell_angle_beta 90.00
_cell_angle_gamma 130.53
loop_
_symmetry_equiv_pos_as_xyz
'x,y,z'
loop_
_atom_site_label
_atom_site_type_symbol
_atom_site_fract_x
_atom_site_fract_y
_atom_site_fract_z
Ho1 Ho 0.162 0.838 0.500
Ho2 Ho 0.838 0.162 0.000
Er1 Er 0.015 0.985 0.695
Er2 Er 0.104 0.542 0.188
Er3 Er 0.258 0.378 0.948
Er4 Er 0.301 0.699 0.732
Er5 Er 0.378 0.258 0.448
Er6 Er 0.458 0.896 0.188
Er7 Er 0.542 0.104 0.688
Er8 Er 0.622 0.742 0.948
Er9 Er 0.699 0.301 0.232
Er10 Er 0.742 0.622 0.448
Er11 Er 0.896 0.458 0.688
Er12 Er 0.985 0.015 0.195
Tm1 Tm 0.043 0.295 0.526
Tm2 Tm 0.295 0.043 0.026
Tm3 Tm 0.419 0.581 0.422
Tm4 Tm 0.581 0.419 0.922
Tm5 Tm 0.705 0.957 0.526
Tm6 Tm 0.957 0.705 0.026
```



# 2
Structure and computed powder X-ray diffraction pattern of RbInTc2O8 (a cell relaxed with GGA-PBE; CuKα).
Neutral-atom scattering factors, no anomalous dispersion.

Most intense lines, 5 to 70 degrees two-theta, by intensity:
26.89 deg, intensity 100; 28.48 deg, intensity 47; 33.12 deg, intensity 46; 29.42 deg, intensity 44; 19.59 deg, intensity 39; 20.02 deg, intensity 38; 10.57 deg, intensity 37; 23.27 deg, intensity 34; 21.08 deg, intensity 32; 37.87 deg, intensity 19; 56.93 deg, intensity 19; 21.31 deg, intensity 17

Structure:
```
data_RbInTc2O8
_symmetry_space_group_name_H-M 'P 1'
_symmetry_Int_Tables_number 1
_cell_length_a 5.474
_cell_length_b 5.474
_cell_length_c 8.416
_cell_angle_alpha 94.92
_cell_angle_beta 94.92
_cell_angle_gamma 67.38
loop_
_symmetry_equiv_pos_as_xyz
'x,y,z'
loop_
_atom_site_label
_atom_site_type_symbol
_atom_site_fract_x
_atom_site_fract_y
_atom_site_fract_z
Rb1 Rb 0.000 0.000 0.000
In1 In 0.000 0.000 0.500
Tc1 Tc 0.383 0.383 0.710
Tc2 Tc 0.617 0.617 0.290
O1 O 0.244 0.244 0.544
O2 O 0.245 0.736 0.692
O3 O 0.264 0.755 0.308
O4 O 0.305 0.305 0.891
O5 O 0.695 0.695 0.109
O6 O 0.736 0.245 0.692
O7 O 0.755 0.264 0.308
O8 O 0.756 0.756 0.456
```



# 3
Structure and computed powder X-ray diffraction pattern of Tb6Cu2Pb (a cell relaxed with GGA-PBE; CuKα).
Neutral-atom scattering factors, no anomalous dispersion.

Most intense lines, 5 to 70 degrees two-theta, by intensity:
31.27 deg, intensity 100; 33.39 deg, intensity 57; 33.25 deg, intensity 27; 29.87 deg, intensity 27; 34.17 deg, intensity 26; 59.15 deg, intensity 25; 38.26 deg, intensity 18; 34.33 deg, intensity 18; 54.61 deg, intensity 16; 34.89 deg, intensity 15; 28.23 deg, intensity 12; 27.12 deg, intensity 12

Structure:
```
data_Tb6Cu2Pb
_symmetry_space_group_name_H-M 'P 1'
_symmetry_Int_Tables_number 1
_cell_length_a 8.613
_cell_length_b 8.613
_cell_length_c 8.613
_cell_angle_alpha 113.78
_cell_angle_beta 109.43
_cell_angle_gamma 105.31
loop_
_symmetry_equiv_pos_as_xyz
'x,y,z'
loop_
_atom_site_label
_atom_site_type_symbol
_atom_site_fract_x
_atom_site_fract_y
_atom_site_fract_z
Tb1 Tb 0.033 0.234 0.798
Tb2 Tb 0.186 0.287 0.474
Tb3 Tb 0.186 0.713 0.899
Tb4 Tb 0.321 0.012 0.691
Tb5 Tb 0.321 0.629 0.309
Tb6 Tb 0.436 0.234 0.202
Tb7 Tb 0.564 0.766 0.798
Tb8 Tb 0.679 0.371 0.691
Tb9 Tb 0.679 0.988 0.309
Tb10 Tb 0.814 0.287 0.101
Tb11 Tb 0.814 0.713 0.526
Tb12 Tb 0.967 0.766 0.202
Cu1 Cu 0.118 0.618 0.500
Cu2 Cu 0.352 0.000 0.352
Cu3 Cu 0.648 0.000 0.648
Cu4 Cu 0.882 0.382 0.500
Pb1 Pb 0.000 0.000 0.000
Pb2 Pb 0.500 0.500 0.000
```